[1]
Mg5Ge: calculated XRD peak list (λ = 1.5418 Å (Cu Kα)), based on the GGA-PBE geometry in the Materials Project.

```
Mg5Ge
1.0
11.2417 0.0000 0.0000
0.0000 3.2341 0.0000
-2.0061 0.0000 7.1821
Mg Ge
10 2
Cartesian
0.0000 0.0000 0.0000
-0.7517 0.0000 4.4055
1.0610 1.6170 2.4126
2.2249 0.0000 4.8800
3.6342 0.0000 1.8515
5.6208 1.6170 0.0000
4.8692 1.6170 4.4055
6.6819 0.0000 2.4126
7.8457 1.6170 4.8800
9.2551 1.6170 1.8515
0.4923 1.6170 6.7946
6.1132 0.0000 6.7946
```

The 6 most intense peaks (2θ from 10° to 80°), low angle first:
2θ = 12.32°, I = 606; 2θ = 32.33°, I = 468; 2θ = 35.77°, I = 657; 2θ = 36.82°, I = 1000; 2θ = 37.34°, I = 931; 2θ = 37.57°, I = 401


[2]
Mg5Ge: calculated XRD peak list (λ = 1.5418 Å (Cu Kα)), based on the GGA-PBE geometry in the Materials Project.

```
Mg5Ge
1.0
0.0000 4.0968 4.0968
4.0968 0.0000 4.0968
4.0968 4.0968 0.0000
Mg Ge
5 1
Cartesian
0.0000 0.0000 0.0000
5.1196 3.0739 3.0739
3.0739 5.1196 3.0739
3.0739 3.0739 5.1196
5.1196 5.1196 5.1196
2.0484 2.0484 2.0484
```

The 6 most intense peaks (2θ from 10° to 80°), low angle first:
2θ = 30.87°, I = 488; 2θ = 36.37°, I = 1000; 2θ = 38.04°, I = 234; 2θ = 54.90°, I = 185; 2θ = 58.54°, I = 320; 2θ = 64.31°, I = 226


[3]
MgMn6Ge6: calculated XRD peak list (λ = 1.5418 Å (Cu Kα)), based on the GGA-PBE geometry in the Materials Project.

```
MgMn6Ge6
1.0
5.1634 0.0000 0.0000
-2.5817 4.4716 0.0000
0.0000 0.0000 8.0483
Mg Mn Ge
1 6 6
Cartesian
0.0000 0.0000 0.0000
-1.2908 2.2358 2.0047
-1.2908 2.2358 6.0436
2.5817 0.0000 2.0047
2.5817 0.0000 6.0436
1.2908 2.2358 2.0047
1.2908 2.2358 6.0436
0.0000 0.0000 2.6847
0.0000 0.0000 5.3636
0.0000 2.9811 0.0000
0.0000 2.9811 4.0241
2.5817 1.4905 0.0000
2.5817 1.4905 4.0241
```

The 6 most intense peaks (2θ from 10° to 80°), low angle first:
2θ = 34.75°, I = 547; 2θ = 40.34°, I = 348; 2θ = 41.56°, I = 652; 2θ = 46.46°, I = 1000; 2θ = 49.69°, I = 281; 2θ = 73.34°, I = 277


[4]
Mg7GeN6: calculated XRD peak list (λ = 1.5418 Å (Cu Kα)), based on the GGA-PBE geometry in the Materials Project.

```
Mg7GeN6
1.0
-2.7621 5.2250 5.8681
2.7621 -5.2250 5.8681
2.7621 5.2250 -5.8681
Mg Ge N
14 2 12
Cartesian
1.2047 0.4265 0.0000
3.2520 2.4216 -1.3699
3.2520 -2.4216 4.4982
0.0000 0.0000 2.9340
3.2520 2.4216 1.3699
0.4899 2.8034 1.3699
1.2047 -0.4265 5.8681
1.5573 5.6515 0.0000
2.2722 2.4216 4.4982
-0.4899 2.8034 4.4982
0.0000 0.0000 8.8021
-0.4899 7.6467 1.3699
-0.4899 2.8034 7.2380
1.5573 4.7985 5.8681
2.7621 0.0000 2.9340
0.0000 5.2250 2.9340
3.9009 -1.1351 1.9719
1.9735 -3.6031 5.8681
1.6233 -1.1351 3.8962
1.6233 1.1351 1.9719
1.9735 3.6031 0.0000
1.1388 6.3601 -1.9719
1.6233 -1.1351 7.8400
0.7885 1.6219 5.8681
1.1388 4.0899 3.8962
1.1388 6.3601 1.9719
0.7885 8.8281 0.0000
-1.1388 6.3601 3.8962
```

The 6 most intense peaks (2θ from 10° to 80°), low angle first:
2θ = 18.16°, I = 260; 2θ = 22.79°, I = 412; 2θ = 23.70°, I = 599; 2θ = 35.08°, I = 1000; 2θ = 35.94°, I = 284; 2θ = 39.99°, I = 519


[5]
MgGe4N4: calculated XRD peak list (λ = 1.5418 Å (Cu Kα)), based on the GGA-PBE geometry in the Materials Project.

```
MgGe4N4
1.0
5.8733 0.0000 0.0000
0.0000 11.4327 0.0000
0.0000 0.0000 7.1559
Mg Ge N
4 16 16
Cartesian
1.0078 2.8582 1.7890
1.9288 8.5745 1.7890
3.9444 2.8582 5.3669
4.8655 8.5745 5.3669
1.0273 1.7080 4.7519
1.0273 4.0083 5.9819
1.4683 0.0000 2.1045
1.4683 0.0000 6.5123
1.4683 5.7163 1.4734
1.4683 5.7163 4.2215
1.9093 7.4243 5.9819
1.9093 9.7246 4.7519
3.9640 1.7080 2.4040
3.9640 4.0083 1.1740
4.4050 0.0000 0.6436
4.4050 0.0000 5.0513
4.4050 5.7163 2.9343
4.4050 5.7163 5.6825
4.8459 7.4243 1.1740
4.8459 9.7246 2.4040
0.4856 1.0023 0.8448
0.4856 4.7141 2.7331
0.8237 7.2353 0.4463
0.8237 9.9137 3.1317
2.1129 1.5190 3.1317
2.1129 4.1973 0.4463
2.4510 6.7186 2.7331
2.4510 10.4304 0.8448
3.4222 1.0023 6.3110
3.4222 4.7141 4.4228
3.7604 7.2353 6.7096
3.7604 9.9137 4.0242
5.0496 1.5190 4.0242
5.0496 4.1973 6.7096
5.3877 6.7186 4.4228
5.3877 10.4304 6.3110
```

The 6 most intense peaks (2θ from 10° to 80°), low angle first:
2θ = 15.50°, I = 421; 2θ = 26.50°, I = 544; 2θ = 30.44°, I = 609; 2θ = 37.17°, I = 440; 2θ = 37.74°, I = 1000; 2θ = 40.81°, I = 296


[6]
Sr3MgGeN4: calculated XRD peak list (λ = 1.5418 Å (Cu Kα)), based on the GGA-PBE geometry in the Materials Project.

```
Sr3MgGeN4
1.0
5.9926 0.0000 0.0000
0.0000 10.4123 0.0000
0.0000 0.0000 9.6918
Sr Mg Ge N
12 4 4 16
Cartesian
0.6746 1.5946 0.8751
0.6746 3.6115 3.9708
1.4981 0.0000 3.9473
1.4981 5.2062 0.8986
2.3217 6.8008 3.9708
2.3217 8.8177 0.8751
3.6709 1.5946 8.8168
3.6709 3.6115 5.7210
4.4944 0.0000 5.7446
4.4944 5.2062 8.7932
5.3179 6.8008 5.7210
5.3179 8.8177 8.8168
0.9406 2.6031 7.2689
2.0557 7.8092 7.2689
3.9369 2.6031 2.4230
5.0520 7.8092 2.4230
1.4981 0.0000 7.0904
1.4981 5.2062 7.4473
4.4944 0.0000 2.6014
4.4944 5.2062 2.2445
0.0863 0.8733 8.1064
0.0863 4.3329 6.4313
0.6995 6.6269 8.4533
0.6995 8.9916 6.0844
2.2968 1.4208 6.0844
2.2968 3.7854 8.4533
2.9100 6.0795 6.4313
2.9100 9.5390 8.1064
3.0826 0.8733 1.5854
3.0826 4.3329 3.2605
3.6958 6.6269 1.2385
3.6958 8.9916 3.6074
5.2931 1.4208 3.6074
5.2931 3.7854 1.2385
5.9063 6.0795 3.2605
5.9063 9.5390 1.5854
```

The 6 most intense peaks (2θ from 10° to 80°), low angle first:
2θ = 27.29°, I = 807; 2θ = 31.46°, I = 1000; 2θ = 32.64°, I = 408; 2θ = 35.16°, I = 630; 2θ = 35.80°, I = 451; 2θ = 57.02°, I = 318